Structure and computed PXRD pattern of BaCoTeO (DFT lattice parameters and positions (PBE+U); Cu Kα, 1.54184 Å).
Kinematic intensities with the Lorentz-polarization factor, no thermal factor.

```
data_BaCoTeO
_chemical_formula_sum 'Ba4 Co4 Te4 O4'
_space_group_name_H-M_alt 'P n m a'
_space_group_IT_number 62
_cell_length_a 7.986
_cell_length_b 3.649
_cell_length_c 13.483
_cell_angle_alpha 90.00
_cell_angle_beta 90.00
_cell_angle_gamma 90.00
loop_
_space_group_symop_operation_xyz
'x,y,z'
'-x,-y,-z'
'-x+1/2,-y,z+1/2'
'x+1/2,y,-z+1/2'
'x+1/2,-y+1/2,-z+1/2'
'-x+1/2,y+1/2,z+1/2'
'-x,y+1/2,-z'
'x,-y+1/2,z'
loop_
_atom_site_label
_atom_site_type_symbol
_atom_site_fract_x
_atom_site_fract_y
_atom_site_fract_z
Ba1 Ba 0.038 0.250 0.215
Co1 Co 0.188 0.750 0.432
Te1 Te 0.160 0.250 0.591
O1 O 0.250 0.250 0.365
```

Peak list (10 most intense, 2θ from 5° to 70°, low angle first)
index  2θ (°)  Rel. int.
1 0 1  12.9  27
2 0 2  25.9  52
1 1 2  30.0  73
0 1 3  31.6  100
2 1 0  33.3  19
2 1 1  33.9  47
3 0 1  34.3  33
1 0 5  35.1  36
0 2 0  50.0  20
3 1 4  50.3  35